[1]
This entry pairs a crystal structure of HfTlTePdSe2 with its theoretical XRD peak list. Radiation: Cu Kα (λ = 1.5418 Å). Structure: the PBE geometry in OQMD.
Lines closer than 0.1° are merged.

Lattice parameters (Å, degrees): 8.498 3.890 10.149 90.00 111.99 90.00
Space group P2_1/m (No. 11)
Asymmetric unit:
Hf1 0.185 0.250 0.168 [2 per cell]
Tl1 0.231 0.750 0.703 [2 per cell]
Te1 0.422 0.750 0.136 [2 per cell]
Pd1 0.401 0.750 0.398 [2 per cell]
Se1 0.052 0.250 0.874 [2 per cell]
Se2 0.239 0.250 0.442 [2 per cell]

Peak list (12 most intense, 10 to 90 degrees two-theta, low angle first)
| 2θ/deg | d/Å | Rel. int. | h k l |
| --- | --- | --- | --- |
| 11.64 | 7.603 | 28 | 1 0 -1 |
| 18.86 | 4.705 | 21 | 0 0 2 |
| 22.57 | 3.940 | 21 | 2 0 0 |
| 23.40 | 3.802 | 21 | 2 0 -2 |
| 28.73 | 3.107 | 31 | 1 1 1 |
| 31.19 | 2.868 | 100 | 2 1 -1 |
| 32.34 | 2.768 | 41 | 2 1 0 |
| 35.16 | 2.552 | 48 | 1 1 -3 |
| 36.15 | 2.485 | 31 | 2 1 1 |
| 42.59 | 2.123 | 27 | 4 0 -2 |
| 44.11 | 2.053 | 22 | 1 0 4 |
| 46.70 | 1.945 | 35 | 0 2 0 |


[2]
This entry pairs a crystal structure of Nd2HoIrPd2Pb3 with its theoretical XRD peak list. Radiation: Cu Kα (λ = 1.5418 Å). Structure: the PBE geometry in OQMD.
Lines closer than 0.1° are merged.

Lattice parameters (Å, degrees): 3.982 13.588 7.865 90.00 90.00 90.00
Space group Amm2 (No. 38)
Asymmetric unit:
Nd1 0.000 0.200 0.000 [4 per cell]
Ho1 0.000 0.000 0.403 [2 per cell]
Ir1 0.000 0.000 0.794 [2 per cell]
Pd1 0.500 0.162 0.302 [4 per cell]
Pb1 0.500 0.000 0.061 [2 per cell]
Pb2 0.500 0.130 0.668 [4 per cell]

Peak list (12 most intense, 10 to 90 degrees two-theta, low angle first)
| 2θ/deg | d/Å | Rel. int. | h k l |
| --- | --- | --- | --- |
| 13.02 | 6.801 | 18 | 0 2 0 |
| 32.01 | 2.796 | 100 | 1 3 1 |
| 34.69 | 2.586 | 77 | 1 4 0 |
| 34.89 | 2.571 | 47 | 0 1 3 |
| 39.75 | 2.268 | 43 | 0 3 3 |
| 41.82 | 2.160 | 39 | 1 1 3 |
| 45.56 | 1.991 | 24 | 2 0 0 |
| 58.64 | 1.574 | 22 | 2 1 3 |
| 62.03 | 1.496 | 23 | 2 3 3 |
| 64.01 | 1.455 | 13 | 1 1 5 |
| 64.12 | 1.452 | 24 | 1 7 3 |
| 75.62 | 1.257 | 9 | 3 3 1 |


[3]
This entry pairs a crystal structure of Nd2Ho2CCl4F with its theoretical XRD peak list. Radiation: Cu Kα (λ = 1.5418 Å). Structure: the PBE geometry in OQMD.
Lines closer than 0.1° are merged.

Lattice parameters (Å, degrees): 17.091 3.705 7.419 90.00 102.41 90.00
Space group C2/m (No. 12)
Asymmetric unit:
Nd1 0.001 0.000 0.263 [4 per cell]
Ho1 0.143 0.500 0.577 [4 per cell]
C1 0.000 0.500 0.500 [2 per cell]
Cl1 0.169 0.000 0.844 [4 per cell]
Cl2 0.175 0.000 0.333 [4 per cell]
F1 0.000 0.500 0.000 [2 per cell]

Peak list (12 most intense, 10 to 90 degrees two-theta, low angle first)
| 2θ/deg | d/Å | Rel. int. | h k l |
| --- | --- | --- | --- |
| 10.60 | 8.346 | 34 | 2 0 0 |
| 12.22 | 7.245 | 83 | 0 0 1 |
| 22.18 | 4.008 | 23 | 4 0 -1 |
| 27.03 | 3.298 | 23 | 1 1 -1 |
| 28.94 | 3.085 | 81 | 2 0 2 |
| 32.18 | 2.782 | 42 | 6 0 0 |
| 32.89 | 2.723 | 24 | 3 1 1 |
| 34.20 | 2.621 | 100 | 1 1 -2 |
| 36.21 | 2.481 | 49 | 6 0 -2 |
| 47.66 | 1.908 | 53 | 5 1 2 |
| 49.15 | 1.854 | 34 | 0 2 0 |
| 58.05 | 1.589 | 25 | 2 2 2 |